The following is a theoretical PXRD pattern of Pr3CuGeS7. It was derived from the PBE geometry in the Materials Project, using λ = 1.5418 Å (Cu Kα).

Structural model:
```
data_Pr3CuGeS7
_cell_length_a 10.2669
_cell_length_b 10.2669
_cell_length_c 5.8939
_cell_angle_alpha 90.00
_cell_angle_beta 90.00
_cell_angle_gamma 120.00
_space_group_name_H-M_alt 'P 63'
_space_group_IT_number 173
loop_
_space_group_symop_operation_xyz
'x,y,z'
'x-y,x,z+1/2'
'-y,x-y,z'
'-x,-y,z+1/2'
'-x+y,-x,z'
'y,-x+y,z+1/2'
loop_
_atom_site_label
_atom_site_type_symbol
_atom_site_fract_x
_atom_site_fract_y
_atom_site_fract_z
Pr1 Pr 0.1274 0.3565 0.0000
Cu1 Cu 0.0000 0.0000 0.4708
Ge1 Ge 0.3333 0.6667 0.5818
S1 S 0.0901 0.2518 0.4828
S2 S 0.1049 0.5838 0.7349
S3 S 0.3333 0.6667 0.2081
```

Principal peaks in the range 10 to 90 degrees two-theta, most intense first:
| d_spacing | 2θ/deg | I/Imax | hkl |
| --- | --- | --- | --- |
| 3.549 | 25.09 | 100 | 2 0 1 |
| 2.567 | 34.96 | 46 | 2 2 0 |
| 2.216 | 40.72 | 39 | 1 2 2 |
| 2.466 | 36.43 | 38 | 1 3 0 |
| 2.275 | 39.62 | 32 | 3 1 1 |
| 3.871 | 22.97 | 30 | 1 1 1 |
| 2.947 | 30.33 | 28 | 0 0 2 |
| 3.361 | 26.52 | 25 | 1 2 0 |
| 1.936 | 46.94 | 24 | 2 2 2 |
| 1.891 | 48.11 | 23 | 1 3 2 |

=====

The following is a theoretical PXRD pattern of Cu2GeS3. It was derived from the PBE geometry in the Materials Project, using λ = 1.5418 Å (Cu Kα).

Structural model:
```
data_Cu2GeS3
_cell_length_a 3.8020
_cell_length_b 11.2405
_cell_length_c 5.2663
_cell_angle_alpha 90.00
_cell_angle_beta 90.00
_cell_angle_gamma 90.00
_space_group_name_H-M_alt 'I m m 2'
_space_group_IT_number 44
loop_
_space_group_symop_operation_xyz
'x,y,z'
'-x,-y,z'
'-x,y,z'
'x,-y,z'
'x+1/2,y+1/2,z+1/2'
'-x+1/2,-y+1/2,z+1/2'
'-x+1/2,y+1/2,z+1/2'
'x+1/2,-y+1/2,z+1/2'
loop_
_atom_site_label
_atom_site_type_symbol
_atom_site_fract_x
_atom_site_fract_y
_atom_site_fract_z
Cu1 Cu 0.0000 0.1693 0.0000
Ge1 Ge 0.0000 0.5000 0.0262
S1 S 0.0000 0.0000 0.2521
S2 S 0.0000 0.3328 0.2589
```

Principal peaks in the range 10 to 90 degrees two-theta, most intense first:
| d_spacing | 2θ/deg | I/Imax | hkl |
| --- | --- | --- | --- |
| 3.083 | 28.97 | 100 | 1 0 1 |
| 1.874 | 48.58 | 95 | 0 6 0 |
| 3.053 | 29.25 | 95 | 0 3 1 |
| 1.614 | 57.07 | 26 | 2 3 1 |
| 1.601 | 57.57 | 26 | 1 6 1 |
| 1.901 | 47.85 | 20 | 2 0 0 |
| 2.669 | 33.58 | 16 | 1 3 0 |
| 1.092 | 89.78 | 13 | 3 3 2 |
| 1.590 | 58.02 | 13 | 0 3 3 |
| 1.334 | 70.58 | 12 | 2 6 0 |